Structure and calculated powder diffraction line list of CePr2HoEr (DFT lattice parameters and positions (PBE); Cu Ka).
No peak broadening, texture or thermal motion is included.

Structure:
Lattice parameters (Å, degrees): 6.0786 6.8296 8.1182 90.00 90.00 90.00
Space group Pmma (No. 51)
Unique sites:
Ce: 0.0000 0.0000 0.0000 x2
Pr: 0.2500 0.2675 0.3115 x4
Ho: 0.2500 0.5000 0.8750 x2
Er: 0.2500 0.0000 0.6426 x2

Main lines, in order of rising 2θ (15 to 90 degrees two-theta):
index	two_theta	I/Imax
0 2 1	28.35	17.9
2 0 0	29.39	27.8
1 1 2	29.52	58.9
1 2 1	32.02	100.0
2 1 1	34.13	40.3
0 1 3	35.69	20.9
2 0 2	36.95	19.5
3 2 1	53.81	23.1